Structure and calculated powder diffractogram of La6MgWO12 (a cell relaxed with GGA+U; Cu Kα X-rays).
Neutral-atom scattering factors, no anomalous dispersion.

Peak list (10 most intense, 2θ from 10° to 90°, most intense first)
d_spacing  I/Imax
3.184  100
2.842  54
3.640  49
2.111  37
1.922  27
1.700  23
1.645  14
1.826  13
1.592  12
2.230  12

Atomic structure:
```
data_La6MgWO12
_chemical_formula_sum 'La6 Mg1 W1 O12'
_cell_length_a 6.908
_cell_length_b 6.908
_cell_length_c 6.908
_cell_angle_alpha 94.80
_cell_angle_beta 94.80
_cell_angle_gamma 94.80
_symmetry_space_group_name_H-M 'P 1'
_symmetry_Int_Tables_number 1
loop_
_symmetry_equiv_pos_as_xyz
'x,y,z'
loop_
_atom_site_label
_atom_site_type_symbol
_atom_site_fract_x
_atom_site_fract_y
_atom_site_fract_z
La1 La 0.073 0.769 0.588
La2 La 0.231 0.412 0.927
La3 La 0.412 0.927 0.231
La4 La 0.588 0.073 0.769
La5 La 0.769 0.588 0.073
La6 La 0.927 0.231 0.412
Mg1 Mg 0.000 0.000 0.000
W1 W 0.500 0.500 0.500
O1 O 0.049 0.699 0.918
O2 O 0.082 0.951 0.301
O3 O 0.207 0.437 0.565
O4 O 0.301 0.082 0.951
O5 O 0.435 0.793 0.563
O6 O 0.437 0.565 0.207
O7 O 0.563 0.435 0.793
O8 O 0.565 0.207 0.437
O9 O 0.699 0.918 0.049
O10 O 0.793 0.563 0.435
O11 O 0.918 0.049 0.699
O12 O 0.951 0.301 0.082
```